(1)
Calculated powder X-ray diffraction pattern
Compound: Ac6Ir3Pt2
Radiation: a wavelength of 1.5418 Å
Structure: a cell relaxed with PBE
Lines closer than 0.1° are merged.

Crystal structure
```
data_Ac6Ir3Pt2
_chemical_formula_sum 'Ac12 Ir6 Pt4'
_symmetry_space_group_name_H-M 'C 1 2/m 1'
_symmetry_Int_Tables_number 12
_cell_length_a 7.546
_cell_length_b 13.049
_cell_length_c 7.571
_cell_angle_alpha 90.00
_cell_angle_beta 109.16
_cell_angle_gamma 90.00
loop_
_symmetry_equiv_pos_as_xyz
'x,y,z'
'-x,-y,-z'
'-x,y,-z'
'x,-y,z'
'x+1/2,y+1/2,z'
'-x+1/2,-y+1/2,-z'
'-x+1/2,y+1/2,-z'
'x+1/2,-y+1/2,z'
loop_
_atom_site_label
_atom_site_type_symbol
_atom_site_fract_x
_atom_site_fract_y
_atom_site_fract_z
Ac1 Ac 0.236 0.174 0.231
Ac2 Ac 0.241 0.000 0.763
Ir1 Ir 0.000 0.000 0.000
Ir2 Ir 0.000 0.339 0.000
Pt1 Pt 0.000 0.168 0.500
```

Largest 6 diffraction maxima, by angle, 10° ≤ 2θ ≤ 90°:
2θ 28.95, d 3.084, I = 100.0, (2 0 -2); 2θ 41.21, d 2.190, I = 12.5, (2 0 2); 2θ 41.36, d 2.183, I = 25.1, (1 3 -3); 2θ 41.49, d 2.177, I = 38.3, (3 3 -1); 2θ 51.44, d 1.777, I = 13.6, (2 6 -2); 2θ 68.12, d 1.377, I = 11.5, (5 3 -3)


(2)
Calculated powder X-ray diffraction pattern
Compound: Ac8TlIrPt2
Radiation: a wavelength of 1.5418 Å
Structure: a cell relaxed with PBE
Lines closer than 0.1° are merged.

Crystal structure
```
data_Ac8TlIrPt2
_chemical_formula_sum 'Ac8 Tl1 Ir1 Pt2'
_symmetry_space_group_name_H-M 'P -1'
_symmetry_Int_Tables_number 2
_cell_length_a 7.271
_cell_length_b 7.759
_cell_length_c 8.103
_cell_angle_alpha 87.69
_cell_angle_beta 74.91
_cell_angle_gamma 88.23
loop_
_symmetry_equiv_pos_as_xyz
'x,y,z'
'-x,-y,-z'
loop_
_atom_site_label
_atom_site_type_symbol
_atom_site_fract_x
_atom_site_fract_y
_atom_site_fract_z
Ac1 Ac 0.165 0.097 0.291
Ac2 Ac 0.227 0.224 0.833
Ac3 Ac 0.254 0.597 0.438
Ac4 Ac 0.316 0.702 0.915
Tl1 Tl 0.500 0.000 0.500
Ir1 Ir 0.500 0.000 0.000
Pt1 Pt 0.034 0.451 0.196
```

Largest 6 diffraction maxima, by angle, 10° ≤ 2θ ≤ 90°:
2θ 26.20, d 3.401, I = 47.6, (1 -1 2); 2θ 28.88, d 3.092, I = 100.0, (1 0 -2); 2θ 31.20, d 2.867, I = 42.7, (2 1 2); 2θ 31.96, d 2.800, I = 37.6, (0 2 2); 2θ 33.48, d 2.676, I = 36.4, (1 -2 2); 2θ 34.90, d 2.570, I = 41.7, (1 1 3)


(3)
Calculated powder X-ray diffraction pattern
Compound: Ac2Zn6IrPt
Radiation: a wavelength of 1.5418 Å
Structure: a cell relaxed with PBE
Lines closer than 0.1° are merged.

Crystal structure
```
data_Ac2Zn6IrPt
_chemical_formula_sum 'Ac4 Zn12 Ir2 Pt2'
_symmetry_space_group_name_H-M 'I m m m'
_symmetry_Int_Tables_number 71
_symmetry_space_group_name_Hall '-I 2 2'
_cell_length_a 6.861
_cell_length_b 6.873
_cell_length_c 9.704
_cell_angle_alpha 90.00
_cell_angle_beta 90.00
_cell_angle_gamma 90.00
loop_
_atom_site_label
_atom_site_type_symbol
_atom_site_fract_x
_atom_site_fract_y
_atom_site_fract_z
Ac1 Ac 0.000 0.000 0.250
Zn1 Zn 0.000 0.500 0.249
Zn2 Zn 0.249 0.251 0.000
Ir1 Ir 0.000 0.500 0.000
Pt1 Pt 0.000 0.500 0.500
```

Largest 6 diffraction maxima, by angle, 10° ≤ 2θ ≤ 90°:
2θ 25.96, d 3.433, I = 100.0, (2 0 0); 2θ 31.93, d 2.803, I = 21.0, (2 0 2); 2θ 37.04, d 2.427, I = 68.6, (2 2 0); 2θ 45.79, d 1.982, I = 45.2, (3 1 2); 2θ 53.38, d 1.716, I = 39.9, (2 2 4); 2θ 60.29, d 1.535, I = 20.5, (4 2 0)


(4)
Calculated powder X-ray diffraction pattern
Compound: Ac5PuIr5
Radiation: a wavelength of 1.5418 Å
Structure: a cell relaxed with PBE
Lines closer than 0.1° are merged.

Crystal structure
```
data_Ac5PuIr5
_chemical_formula_sum 'Ac10 Pu2 Ir10'
_symmetry_space_group_name_H-M 'C 1 2/m 1'
_symmetry_Int_Tables_number 12
_cell_length_a 13.466
_cell_length_b 5.964
_cell_length_c 8.569
_cell_angle_alpha 90.00
_cell_angle_beta 109.07
_cell_angle_gamma 90.00
loop_
_symmetry_equiv_pos_as_xyz
'x,y,z'
'-x,-y,-z'
'-x,y,-z'
'x,-y,z'
'x+1/2,y+1/2,z'
'-x+1/2,-y+1/2,-z'
'-x+1/2,y+1/2,-z'
'x+1/2,-y+1/2,z'
loop_
_atom_site_label
_atom_site_type_symbol
_atom_site_fract_x
_atom_site_fract_y
_atom_site_fract_z
Ac1 Ac 0.000 0.000 0.000
Ac2 Ac 0.171 0.500 0.345
Ac3 Ac 0.177 0.500 0.824
Pu1 Pu 0.000 0.000 0.500
Ir1 Ir 0.000 0.500 0.500
Ir2 Ir 0.147 0.000 0.333
Ir3 Ir 0.154 0.000 0.819
```

Largest 6 diffraction maxima, by angle, 10° ≤ 2θ ≤ 90°:
2θ 29.50, d 3.028, I = 91.0, (4 0 -2); 2θ 29.77, d 3.001, I = 91.6, (2 0 2); 2θ 29.97, d 2.982, I = 93.4, (0 2 0); 2θ 42.57, d 2.124, I = 100.0, (4 2 -2); 2θ 42.75, d 2.115, I = 69.9, (2 2 2); 2θ 52.61, d 1.740, I = 42.7, (2 2 -4)


(5)
Calculated powder X-ray diffraction pattern
Compound: Ac12PuIr7
Radiation: a wavelength of 1.5418 Å
Structure: a cell relaxed with PBE
Lines closer than 0.1° are merged.

Crystal structure
```
data_Ac12PuIr7
_chemical_formula_sum 'Ac36 Pu3 Ir21'
_symmetry_space_group_name_H-M 'R -3'
_symmetry_Int_Tables_number 148
_symmetry_space_group_name_Hall '-R 3'
_cell_length_a 15.4111
_cell_length_b 15.4111
_cell_length_c 10.5435
_cell_angle_alpha 90.00
_cell_angle_beta 90.00
_cell_angle_gamma 120.00
loop_
_atom_site_label
_atom_site_type_symbol
_atom_site_fract_x
_atom_site_fract_y
_atom_site_fract_z
Ac1 Ac 0.0261 0.4420 0.1586
Ac2 Ac 0.0454 0.8774 0.8240
Pu1 Pu 0.0000 0.0000 0.5000
Ir1 Ir 0.0000 0.0000 0.0000
Ir2 Ir 0.0453 0.8672 0.3410
```

Largest 6 diffraction maxima, by angle, 10° ≤ 2θ ≤ 90°:
2θ 25.50, d 3.493, I = 20.4, (1 3 1); 2θ 29.49, d 3.029, I = 100.0, (4 -1 2); 2θ 42.08, d 2.147, I = 39.3, (1 3 4); 2θ 42.29, d 2.137, I = 37.5, (5 2 0); 2θ 52.39, d 1.746, I = 19.8, (2 6 2); 2θ 69.51, d 1.352, I = 17.0, (9 1 2)


(6)
Calculated powder X-ray diffraction pattern
Compound: Ac3PuIr8
Radiation: a wavelength of 1.5418 Å
Structure: a cell relaxed with PBE
Lines closer than 0.1° are merged.

Crystal structure
```
data_Ac3PuIr8
_chemical_formula_sum 'Ac9 Pu3 Ir24'
_symmetry_space_group_name_H-M 'R 3 m'
_symmetry_Int_Tables_number 160
_symmetry_space_group_name_Hall 'R 3 -2"'
_cell_length_a 5.5216
_cell_length_b 5.5216
_cell_length_c 27.0198
_cell_angle_alpha 90.00
_cell_angle_beta 90.00
_cell_angle_gamma 120.00
loop_
_atom_site_label
_atom_site_type_symbol
_atom_site_fract_x
_atom_site_fract_y
_atom_site_fract_z
Ac1 Ac 0.0000 0.0000 0.0000
Ac2 Ac 0.0000 0.0000 0.1259
Ac3 Ac 0.0000 0.0000 0.6232
Pu1 Pu 0.0000 0.0000 0.4995
Ir1 Ir 0.0000 0.0000 0.3124
Ir2 Ir 0.0000 0.0000 0.8128
Ir3 Ir 0.0034 0.5017 0.0644
Ir4 Ir 0.1675 0.3350 0.8937
```

Largest 6 diffraction maxima, by angle, 10° ≤ 2θ ≤ 90°:
2θ 32.44, d 2.760, I = 32.1, (1 1 0); 2θ 38.24, d 2.354, I = 100.0, (2 0 2); 2θ 40.01, d 2.253, I = 34.7, (0 2 4); 2θ 61.75, d 1.502, I = 33.3, (3 0 6); 2θ 67.93, d 1.380, I = 28.3, (2 2 0); 2θ 81.86, d 1.177, I = 13.3, (4 0 4)


(7)
Calculated powder X-ray diffraction pattern
Compound: Ac2PuSb3Ir4
Radiation: a wavelength of 1.5418 Å
Structure: a cell relaxed with PBE
Lines closer than 0.1° are merged.

Crystal structure
```
data_Ac2PuSb3Ir4
_chemical_formula_sum 'Ac2 Pu1 Sb3 Ir4'
_symmetry_space_group_name_H-M 'P -4 m 2'
_symmetry_Int_Tables_number 115
_cell_length_a 4.546
_cell_length_b 4.546
_cell_length_c 11.331
_cell_angle_alpha 90.00
_cell_angle_beta 90.00
_cell_angle_gamma 90.00
loop_
_symmetry_equiv_pos_as_xyz
'x,y,z'
'y,-x,-z'
'-x,-y,z'
'-y,x,-z'
'-x,y,z'
'-y,-x,-z'
'x,-y,z'
'y,x,-z'
loop_
_atom_site_label
_atom_site_type_symbol
_atom_site_fract_x
_atom_site_fract_y
_atom_site_fract_z
Ac1 Ac 0.000 0.500 0.237
Pu1 Pu 0.000 0.000 0.500
Sb1 Sb 0.000 0.500 0.874
Sb2 Sb 0.500 0.500 0.500
Ir1 Ir 0.000 0.000 0.000
Ir2 Ir 0.000 0.500 0.641
Ir3 Ir 0.500 0.500 0.000
```

Largest 6 diffraction maxima, by angle, 10° ≤ 2θ ≤ 90°:
2θ 30.78, d 2.905, I = 42.8, (1 0 3); 2θ 32.01, d 2.796, I = 100.0, (1 1 2); 2θ 39.65, d 2.273, I = 58.2, (2 0 0); 2θ 42.54, d 2.125, I = 24.2, (1 1 4); 2θ 44.68, d 2.028, I = 23.5, (1 0 5); 2θ 67.18, d 1.393, I = 24.5, (3 1 2)


(8)
Calculated powder X-ray diffraction pattern
Compound: Ac7IrRh4
Radiation: a wavelength of 1.5418 Å
Structure: a cell relaxed with PBE
Lines closer than 0.1° are merged.

Crystal structure
```
data_Ac7IrRh4
_chemical_formula_sum 'Ac14 Ir2 Rh8'
_symmetry_space_group_name_H-M 'C 1 m 1'
_symmetry_Int_Tables_number 8
_cell_length_a 14.120
_cell_length_b 4.237
_cell_length_c 12.985
_cell_angle_alpha 90.00
_cell_angle_beta 105.73
_cell_angle_gamma 90.00
loop_
_symmetry_equiv_pos_as_xyz
'x,y,z'
'x,-y,z'
'x+1/2,y+1/2,z'
'x+1/2,-y+1/2,z'
loop_
_atom_site_label
_atom_site_type_symbol
_atom_site_fract_x
_atom_site_fract_y
_atom_site_fract_z
Ac1 Ac 0.000 0.000 0.000
Ac2 Ac 0.024 0.500 0.279
Ac3 Ac 0.105 0.500 0.587
Ac4 Ac 0.222 0.000 0.854
Ac5 Ac 0.260 0.500 0.139
Ac6 Ac 0.300 0.000 0.426
Ac7 Ac 0.418 0.500 0.693
Ir1 Ir 0.146 0.000 0.215
Rh1 Rh 0.067 0.500 0.826
Rh2 Rh 0.262 0.000 0.640
Rh3 Rh 0.375 0.000 0.063
Rh4 Rh 0.457 0.500 0.458
```

Largest 6 diffraction maxima, by angle, 10° ≤ 2θ ≤ 90°:
2θ 28.00, d 3.187, I = 100.0, (2 0 3); 2θ 28.40, d 3.143, I = 44.5, (3 1 -1); 2θ 29.75, d 3.003, I = 56.7, (3 1 -2); 2θ 31.03, d 2.882, I = 32.0, (3 1 1); 2θ 42.68, d 2.119, I = 35.6, (0 2 0); 2θ 51.82, d 1.764, I = 44.5, (2 2 3)